No. 1
# CaPrMg5
Simulated PXRD pattern, a wavelength of 1.5418 Å. Input: DFT lattice parameters and positions (GGA-PBE).
Neutral-atom scattering factors, no anomalous dispersion.

Peak list (10 most intense, 2θ from 10° to 90°, by angle)
| index | d (Å) | intensity |
| --- | --- | --- |
| 1 1 0 | 5.398 | 54 |
| 1 1 1 | 4.234 | 100 |
| 1 1 2 | 2.885 | 23 |
| 0 2 2 | 2.777 | 66 |
| 2 2 0 | 2.699 | 61 |
| 1 3 1 | 2.641 | 29 |
| 0 4 0 | 2.389 | 21 |
| 2 0 2 | 2.361 | 41 |
| 2 4 2 | 1.680 | 28 |
| 2 2 4 | 1.443 | 25 |

Cell and atoms:
```
data_CaPrMg5
_chemical_formula_sum 'Ca2 Pr2 Mg10'
_symmetry_space_group_name_H-M 'C m m m'
_symmetry_Int_Tables_number 65
_symmetry_space_group_name_Hall '-C 2 2'
_cell_length_a 6.5413
_cell_length_b 9.5566
_cell_length_c 6.8264
_cell_angle_alpha 90.00
_cell_angle_beta 90.00
_cell_angle_gamma 90.00
loop_
_atom_site_label
_atom_site_type_symbol
_atom_site_fract_x
_atom_site_fract_y
_atom_site_fract_z
Ca1 Ca 0.0000 0.0000 0.0000
Pr1 Pr 0.0000 0.5000 0.5000
Mg1 Mg 0.0000 0.5000 0.0000
Mg2 Mg 0.2500 0.2500 0.2525
```

=====

No. 2
# Pa4Tc7As6
Simulated PXRD pattern, a wavelength of 1.5418 Å. Input: DFT lattice parameters and positions (GGA-PBE).
Neutral-atom scattering factors, no anomalous dispersion.

Peak list (10 most intense, 2θ from 10° to 90°, by angle)
| index | d (Å) | intensity |
| --- | --- | --- |
| 2 0 0 | 4.207 | 15 |
| 2 2 0 | 2.975 | 46 |
| 2 2 2 | 2.429 | 100 |
| 4 0 0 | 2.104 | 60 |
| 4 2 0 | 1.882 | 15 |
| 4 2 2 | 1.718 | 13 |
| 4 4 0 | 1.488 | 34 |
| 6 2 0 | 1.331 | 14 |
| 6 2 2 | 1.269 | 30 |
| 6 4 2 | 1.124 | 12 |

Cell and atoms:
```
data_Pa4Tc7As6
_chemical_formula_sum 'Pa8 Tc14 As12'
_symmetry_space_group_name_H-M 'I m -3 m'
_symmetry_Int_Tables_number 229
_symmetry_space_group_name_Hall '-I 4 2 3'
_cell_length_a 8.4149
_cell_length_b 8.4149
_cell_length_c 8.4149
_cell_angle_alpha 90.00
_cell_angle_beta 90.00
_cell_angle_gamma 90.00
loop_
_atom_site_label
_atom_site_type_symbol
_atom_site_fract_x
_atom_site_fract_y
_atom_site_fract_z
Pa1 Pa 0.2500 0.2500 0.2500
Tc1 Tc 0.0000 0.0000 0.0000
Tc2 Tc 0.0000 0.2500 0.5000
As1 As 0.0000 0.0000 0.3110
```

=====

No. 3
# LiNpAs2
Simulated PXRD pattern, a wavelength of 1.5418 Å. Input: DFT lattice parameters and positions (GGA-PBE).
Neutral-atom scattering factors, no anomalous dispersion.

Peak list (10 most intense, 2θ from 10° to 90°, by angle)
| index | d (Å) | intensity |
| --- | --- | --- |
| 0 0 2 | 5.143 | 42 |
| 1 0 1 | 3.654 | 61 |
| 1 0 2 | 3.112 | 34 |
| 1 1 0 | 2.764 | 31 |
| 0 0 4 | 2.576 | 51 |
| 1 1 2 | 2.435 | 100 |
| 1 0 4 | 2.149 | 35 |
| 2 0 0 | 1.955 | 34 |
| 2 0 4 | 1.557 | 29 |
| 3 1 2 | 1.202 | 22 |

Cell and atoms:
```
data_LiNpAs2
_chemical_formula_sum 'Li2 Np2 As4'
_symmetry_space_group_name_H-M 'P 4/n m m'
_symmetry_Int_Tables_number 129
_cell_length_a 3.9095
_cell_length_b 3.9095
_cell_length_c 10.2864
_cell_angle_alpha 90.00
_cell_angle_beta 90.00
_cell_angle_gamma 90.00
loop_
_symmetry_equiv_pos_as_xyz
'x,y,z'
'-x,-y,-z'
'-y+1/2,x,z'
'y+1/2,-x,-z'
'-x+1/2,-y+1/2,z'
'x+1/2,y+1/2,-z'
'y,-x+1/2,z'
'-y,x+1/2,-z'
'x+1/2,-y,-z'
'-x+1/2,y,z'
'-y,-x,-z'
'y,x,z'
'-x,y+1/2,-z'
'x,-y+1/2,z'
'y+1/2,x+1/2,-z'
'-y+1/2,-x+1/2,z'
loop_
_atom_site_label
_atom_site_type_symbol
_atom_site_fract_x
_atom_site_fract_y
_atom_site_fract_z
Li1 Li 0.2500 0.7500 0.0000
Np1 Np 0.2500 0.2500 0.2772
As1 As 0.2500 0.2500 0.8293
As2 As 0.2500 0.7500 0.5000
```

=====

No. 4
# Sm12AlCo5
Simulated PXRD pattern, a wavelength of 1.5418 Å. Input: DFT lattice parameters and positions (GGA-PBE).
Neutral-atom scattering factors, no anomalous dispersion.

Peak list (10 most intense, 2θ from 10° to 90°, by angle)
| index | d (Å) | intensity |
| --- | --- | --- |
| 1 0 3 | 3.135 | 31 |
| 0 3 1 | 3.067 | 39 |
| 3 1 0 | 3.044 | 40 |
| 2 2 2 | 2.813 | 100 |
| 2 1 3 | 2.627 | 62 |
| 1 3 2 | 2.606 | 50 |
| 2 3 1 | 2.584 | 61 |
| 0 3 5 | 1.693 | 22 |
| 3 5 0 | 1.658 | 26 |
| 5 3 2 | 1.567 | 34 |

Cell and atoms:
```
data_Sm12AlCo5
_chemical_formula_sum 'Sm24 Al2 Co10'
_symmetry_space_group_name_H-M 'I m m m'
_symmetry_Int_Tables_number 71
_symmetry_space_group_name_Hall '-I 2 2'
_cell_length_a 9.6120
_cell_length_b 9.6848
_cell_length_c 9.9458
_cell_angle_alpha 90.00
_cell_angle_beta 90.00
_cell_angle_gamma 90.00
loop_
_atom_site_label
_atom_site_type_symbol
_atom_site_fract_x
_atom_site_fract_y
_atom_site_fract_z
Sm1 Sm 0.0000 0.1905 0.2049
Sm2 Sm 0.1962 0.5000 0.1835
Sm3 Sm 0.2025 0.3133 0.5000
Al1 Al 0.0000 0.0000 0.5000
Co1 Co 0.0000 0.0000 0.0000
Co2 Co 0.0000 0.3794 0.0000
Co3 Co 0.0000 0.5000 0.3874
```